The following is a theoretical powder X-ray diffraction pattern of UZnCrO6. It was derived from a cell relaxed with PBE+U, using Cu Kα (weighted mean of Kα1 and Kα2).
Lines closer than 0.1° are merged.

Atomic structure:
a = 5.2956 Å, b = 5.2956 Å, c = 8.9280 Å
α = 90.00°, β = 90.00°, γ = 120.00°
Fractional coordinates of all 18 atoms:
U  0.3333  0.6667  0.2500
U  0.6667  0.3333  0.7500
Zn  0.0000  0.0000  0.0000
Zn  0.0000  0.0000  0.5000
Cr  0.3333  0.6667  0.7500
Cr  0.6667  0.3333  0.2500
O  0.0149  0.3533  0.6322
O  0.0149  0.6616  0.8678
O  0.3384  0.3533  0.8678
O  0.3384  0.9851  0.6322
O  0.3533  0.0149  0.1322
O  0.3533  0.3384  0.3678
O  0.6467  0.6616  0.6322
O  0.6467  0.9851  0.8678
O  0.6616  0.0149  0.3678
O  0.6616  0.6467  0.1322
O  0.9851  0.3384  0.1322
O  0.9851  0.6467  0.3678

Top 10 peaks for 2θ from 15° to 90°, in order of falling intensity:
2θ 27.89, d = 3.199 Å, I 1000; 2θ 21.79, d = 4.079 Å, I 812; 2θ 33.85, d = 2.648 Å, I 612; 2θ 53.71, d = 1.707 Å, I 553; 2θ 39.57, d = 2.277 Å, I 427; 2θ 19.89, d = 4.464 Å, I 396; 2θ 44.41, d = 2.040 Å, I 279; 2θ 56.99, d = 1.616 Å, I 266; 2θ 35.97, d = 2.496 Å, I 266; 2θ 60.57, d = 1.529 Å, I 228

The following is a theoretical powder X-ray diffraction pattern of V2CrO4. It was derived from a cell relaxed with PBE+U, using Cu Kα (weighted mean of Kα1 and Kα2).
Lines closer than 0.1° are merged.

Atomic structure:
a = 5.9565 Å, b = 5.9565 Å, c = 6.4118 Å
α = 122.54°, β = 122.54°, γ = 80.83°
Fractional coordinates of all 14 atoms:
V  0.0000  0.0000  0.0000
V  0.0000  0.0000  0.5000
V  0.0000  0.5000  0.0000
V  0.5000  0.0000  0.5000
Cr  0.3758  0.6242  0.7500
Cr  0.6242  0.3758  0.2500
O  0.1949  0.2180  0.4495
O  0.2180  0.1949  0.9495
O  0.2548  0.7316  0.0366
O  0.2684  0.7452  0.4634
O  0.7316  0.2548  0.5366
O  0.7452  0.2684  0.9634
O  0.7820  0.8051  0.0505
O  0.8051  0.7820  0.5505

Top 10 peaks for 2θ from 15° to 90°, in order of falling intensity:
2θ 33.32, d = 2.689 Å, I 1000; 2θ 37.65, d = 2.389 Å, I 635; 2θ 52.80, d = 1.734 Å, I 468; 2θ 63.25, d = 1.470 Å, I 437; 2θ 57.46, d = 1.604 Å, I 290; 2θ 30.40, d = 2.941 Å, I 284; 2θ 39.74, d = 2.268 Å, I 258; 2θ 27.81, d = 3.208 Å, I 238; 2θ 17.98, d = 4.935 Å, I 158; 2θ 70.75, d = 1.332 Å, I 145